Record 1
Diffraction record for LaZrAlTlV. The X-ray powder pattern is calculated, not measured: it uses a cell relaxed with GGA-PBE and a wavelength of 1.5418 Å.
Peak positions follow from Bragg's law for the DFT cell and can differ from measured ones.

Main lines, sorted by position (10° ≤ 2θ ≤ 90°):
| two_theta | d [Å] | intensity |
| --- | --- | --- |
| 25.80 | 3.454 | 32 |
| 28.80 | 3.100 | 17 |
| 29.21 | 3.057 | 42 |
| 35.13 | 2.555 | 100 |
| 36.14 | 2.485 | 60 |
| 46.85 | 1.939 | 18 |
| 52.04 | 1.757 | 21 |
| 54.01 | 1.698 | 13 |
| 60.79 | 1.524 | 23 |
| 64.34 | 1.448 | 34 |

Structural model:
Cell: 9.626 9.626 9.626 Å, 158.96 158.96 29.92°
Positions (direct):
La  0.000  0.000  0.000
Zr  0.801  0.801  0.000
Al  0.385  0.385  0.000
Tl  0.632  0.632  0.000
V  0.223  0.223  0.000


Record 2
Diffraction record for Tl6PtAu3. The X-ray powder pattern is calculated, not measured: it uses a cell relaxed with GGA-PBE and a wavelength of 1.5418 Å.
Peak positions follow from Bragg's law for the DFT cell and can differ from measured ones.

Main lines, sorted by position (10° ≤ 2θ ≤ 90°):
| two_theta | d [Å] | intensity |
| --- | --- | --- |
| 30.65 | 2.917 | 70 |
| 32.05 | 2.793 | 97 |
| 32.34 | 2.768 | 46 |
| 32.84 | 2.727 | 35 |
| 34.72 | 2.584 | 36 |
| 35.25 | 2.546 | 66 |
| 35.91 | 2.501 | 64 |
| 36.86 | 2.438 | 100 |
| 39.65 | 2.273 | 78 |
| 45.53 | 1.992 | 67 |

Structural model:
Cell: 11.301 3.985 12.463 Å, 90.00 114.34 90.00°
Positions (direct):
Tl  0.080  0.250  0.297
Tl  0.134  0.750  0.549
Tl  0.231  0.750  0.902
Tl  0.242  0.250  0.132
Tl  0.388  0.250  0.765
Tl  0.392  0.750  0.371
Tl  0.608  0.250  0.629
Tl  0.612  0.750  0.235
Tl  0.758  0.750  0.868
Tl  0.769  0.250  0.098
Tl  0.866  0.250  0.451
Tl  0.920  0.750  0.703
Pt  0.111  0.250  0.713
Pt  0.889  0.750  0.287
Au  0.011  0.750  0.091
Au  0.321  0.250  0.512
Au  0.460  0.250  0.062
Au  0.540  0.750  0.938
Au  0.679  0.750  0.488
Au  0.989  0.250  0.909


Record 3
Diffraction record for TlAs8. The X-ray powder pattern is calculated, not measured: it uses a cell relaxed with GGA-PBE and a wavelength of 1.5418 Å.
Peak positions follow from Bragg's law for the DFT cell and can differ from measured ones.

Main lines, sorted by position (10° ≤ 2θ ≤ 90°):
| two_theta | d [Å] | intensity |
| --- | --- | --- |
| 20.30 | 4.375 | 26 |
| 27.36 | 3.260 | 29 |
| 28.12 | 3.173 | 13 |
| 34.31 | 2.614 | 100 |
| 36.15 | 2.485 | 31 |
| 41.55 | 2.173 | 22 |
| 45.92 | 1.976 | 14 |
| 56.23 | 1.636 | 18 |
| 56.88 | 1.619 | 23 |
| 63.83 | 1.458 | 19 |

Structural model:
Cell: 6.977 6.977 6.977 Å, 97.29 97.29 138.27°
Positions (direct):
Tl  0.000  0.000  0.000
As  0.000  0.361  0.361
As  0.000  0.639  0.639
As  0.287  0.287  0.574
As  0.287  0.713  0.000
As  0.361  0.000  0.361
As  0.639  0.000  0.639
As  0.713  0.287  0.000
As  0.713  0.713  0.426


Record 4
Diffraction record for Th4Sn3H4. The X-ray powder pattern is calculated, not measured: it uses a cell relaxed with GGA-PBE and a wavelength of 1.5418 Å.
Peak positions follow from Bragg's law for the DFT cell and can differ from measured ones.

Main lines, sorted by position (10° ≤ 2θ ≤ 90°):
| two_theta | d [Å] | intensity |
| --- | --- | --- |
| 23.33 | 3.813 | 28 |
| 25.09 | 3.549 | 43 |
| 27.31 | 3.265 | 63 |
| 28.05 | 3.181 | 58 |
| 32.65 | 2.742 | 100 |
| 34.54 | 2.597 | 80 |
| 39.93 | 2.258 | 36 |
| 45.56 | 1.991 | 33 |
| 49.51 | 1.841 | 25 |
| 68.33 | 1.373 | 27 |

Structural model:
Cell: 8.250 8.250 8.250 Å, 148.24 128.89 61.45°
Positions (direct):
Th  0.221  0.221  0.000
Th  0.275  0.500  0.775
Th  0.725  0.500  0.225
Th  0.779  0.779  0.000
Sn  0.000  0.000  0.000
Sn  0.377  0.877  0.500
Sn  0.623  0.123  0.500
H  0.013  0.320  0.693
H  0.373  0.680  0.693
H  0.627  0.320  0.307
H  0.987  0.680  0.307


Record 5
Diffraction record for Pm7Y2Sc2. The X-ray powder pattern is calculated, not measured: it uses a cell relaxed with GGA-PBE and a wavelength of 1.5418 Å.
Peak positions follow from Bragg's law for the DFT cell and can differ from measured ones.

Main lines, sorted by position (10° ≤ 2θ ≤ 90°):
| two_theta | d [Å] | intensity |
| --- | --- | --- |
| 23.29 | 3.819 | 25 |
| 26.38 | 3.379 | 30 |
| 30.48 | 2.933 | 28 |
| 30.99 | 2.886 | 52 |
| 31.60 | 2.831 | 100 |
| 32.91 | 2.722 | 19 |
| 33.85 | 2.648 | 34 |
| 34.46 | 2.603 | 25 |
| 45.82 | 1.980 | 13 |
| 55.51 | 1.656 | 17 |

Structural model:
Cell: 7.950 7.950 6.089 Å, 104.46 104.46 93.12°
Positions (direct):
Pm  0.000  0.000  0.000
Pm  0.057  0.582  0.810
Pm  0.418  0.943  0.190
Pm  0.422  0.422  0.205
Pm  0.578  0.578  0.795
Pm  0.582  0.057  0.810
Pm  0.943  0.418  0.190
Y  0.211  0.211  0.586
Y  0.789  0.789  0.414
Sc  0.226  0.774  0.500
Sc  0.774  0.226  0.500


Record 6
Diffraction record for MgPaCoH6. The X-ray powder pattern is calculated, not measured: it uses a cell relaxed with GGA-PBE and a wavelength of 1.5418 Å.
Peak positions follow from Bragg's law for the DFT cell and can differ from measured ones.

Main lines, sorted by position (10° ≤ 2θ ≤ 90°):
| two_theta | d [Å] | intensity |
| --- | --- | --- |
| 20.38 | 4.357 | 12 |
| 23.44 | 3.795 | 45 |
| 31.26 | 2.862 | 100 |
| 41.20 | 2.191 | 31 |
| 41.45 | 2.178 | 10 |
| 48.17 | 1.889 | 15 |
| 52.61 | 1.740 | 24 |
| 59.87 | 1.545 | 21 |
| 68.92 | 1.362 | 21 |
| 69.28 | 1.356 | 10 |

Structural model:
Cell: 4.382 4.382 4.357 Å, 90.00 90.00 120.00°
Positions (direct):
Mg  0.000  0.000  0.000
Pa  0.667  0.333  0.500
Co  0.333  0.667  0.000
H  0.185  0.370  0.288
H  0.185  0.370  0.712
H  0.185  0.815  0.288
H  0.185  0.815  0.712
H  0.630  0.815  0.288
H  0.630  0.815  0.712


Record 7
Diffraction record for Sm5Dy3Te8. The X-ray powder pattern is calculated, not measured: it uses a cell relaxed with GGA-PBE and a wavelength of 1.5418 Å.
Peak positions follow from Bragg's law for the DFT cell and can differ from measured ones.

Main lines, sorted by position (10° ≤ 2θ ≤ 90°):
| two_theta | d [Å] | intensity |
| --- | --- | --- |
| 28.62 | 3.119 | 100 |
| 40.80 | 2.212 | 38 |
| 41.03 | 2.200 | 38 |
| 50.39 | 1.811 | 7 |
| 50.79 | 1.798 | 20 |
| 59.25 | 1.560 | 13 |
| 66.93 | 1.398 | 17 |
| 67.26 | 1.392 | 17 |
| 74.11 | 1.279 | 6 |
| 74.59 | 1.272 | 13 |

Structural model:
Cell: 8.847 8.847 8.847 Å, 59.63 59.63 59.63°
Positions (direct):
Sm  0.000  0.000  0.000
Sm  0.000  0.500  0.500
Sm  0.500  0.000  0.500
Sm  0.500  0.500  0.000
Sm  0.500  0.500  0.500
Dy  0.000  0.000  0.500
Dy  0.000  0.500  0.000
Dy  0.500  0.000  0.000
Te  0.245  0.750  0.750
Te  0.247  0.247  0.247
Te  0.250  0.250  0.755
Te  0.250  0.755  0.250
Te  0.750  0.245  0.750
Te  0.750  0.750  0.245
Te  0.753  0.753  0.753
Te  0.755  0.250  0.250


Record 8
Diffraction record for Nd4Ag5Sb7. The X-ray powder pattern is calculated, not measured: it uses a cell relaxed with GGA-PBE and a wavelength of 1.5418 Å.
Peak positions follow from Bragg's law for the DFT cell and can differ from measured ones.

Main lines, sorted by position (10° ≤ 2θ ≤ 90°):
| two_theta | d [Å] | intensity |
| --- | --- | --- |
| 26.31 | 3.388 | 12 |
| 32.29 | 2.772 | 7 |
| 33.23 | 2.696 | 15 |
| 33.52 | 2.674 | 100 |
| 39.30 | 2.292 | 8 |
| 41.48 | 2.177 | 33 |
| 47.01 | 1.933 | 8 |
| 54.15 | 1.694 | 14 |
| 60.10 | 1.539 | 11 |
| 70.60 | 1.334 | 22 |

Structural model:
Cell: 11.631 11.631 11.631 Å, 149.30 149.30 43.97°
Positions (direct):
Nd  0.124  0.638  0.000
Nd  0.362  0.362  0.486
Nd  0.638  0.124  0.000
Nd  0.876  0.876  0.514
Ag  0.248  0.248  0.000
Ag  0.250  0.750  0.500
Ag  0.500  0.500  0.000
Ag  0.750  0.250  0.500
Ag  0.752  0.752  0.000
Sb  0.000  0.000  0.000
Sb  0.000  0.500  0.500
Sb  0.096  0.096  0.512
Sb  0.416  0.904  0.000
Sb  0.500  0.000  0.500
Sb  0.584  0.584  0.488
Sb  0.904  0.416  0.000